1.
Diffraction record for Tc3Au5. The PXRD pattern is theoretical, not measured: it uses a structure optimized by DFT (GGA-PBE) and λ = 1.5418 Å (Cu Kα).
Kinematic intensities with the Lorentz-polarization factor, no thermal factor.

Main lines, low angle first (2θ = 15–90°):
hkl  2θ (°)  Rel. int.
0 1 -3  35.09  49
-1 2 1  38.33  55
1 -1 3  39.32  59
1 3 0  39.63  77
2 1 -1  39.83  42
1 0 -3  39.97  100
2 2 0  40.52  54
2 2 1  40.66  50
1 2 3  41.61  94
2 -1 0  43.01  71

Structural model:
Cell lengths 4.979, 7.024, 8.344 Å; angles 88.30, 81.90, 75.97 degrees
Sites, in units of the cell vectors:
Tc  0.074  0.140  0.498
Tc  0.256  0.927  0.963
Tc  0.390  0.532  0.894
Tc  0.610  0.468  0.106
Tc  0.744  0.073  0.037
Tc  0.926  0.860  0.502
Au  0.012  0.693  0.170
Au  0.151  0.264  0.164
Au  0.239  0.488  0.570
Au  0.404  0.822  0.646
Au  0.433  0.846  0.270
Au  0.567  0.154  0.730
Au  0.596  0.178  0.354
Au  0.761  0.512  0.430
Au  0.849  0.736  0.836
Au  0.988  0.307  0.830



2.
Diffraction record for NaPb. The PXRD pattern is theoretical, not measured: it uses a structure optimized by DFT (GGA-PBE) and λ = 1.5418 Å (Cu Kα).
Kinematic intensities with the Lorentz-polarization factor, no thermal factor.

Main lines, low angle first (2θ = 15–90°):
hkl  2θ (°)  Rel. int.
1 0 1  19.25  66
2 0 0  23.12  23
1 1 1  25.32  27
1 2 0  30.75  37
0 0 2  31.05  30
1 2 1  34.55  100
1 2 2  44.26  28
1 2 3  57.52  24
4 1 2  64.22  22
2 4 1  66.30  18

Structural model:
Cell lengths 8.884, 8.884, 5.760 Å; angles 90.00, 90.00, 120.00 degrees
Sites, in units of the cell vectors:
Na  0.081  0.801  0.250
Na  0.199  0.280  0.250
Na  0.280  0.081  0.750
Na  0.720  0.919  0.250
Na  0.801  0.720  0.750
Na  0.919  0.199  0.750
Pb  0.104  0.618  0.750
Pb  0.382  0.487  0.750
Pb  0.487  0.104  0.250
Pb  0.513  0.896  0.750
Pb  0.618  0.513  0.250
Pb  0.896  0.382  0.250